[1]
Simulated X-ray powder pattern
Compound: CePaFe2
Radiation: Cu Kα
Structure: a structure optimized by DFT (GGA-PBE)
No peak broadening, texture or thermal motion is included.

Atomic structure:
```
data_CePaFe2
_chemical_formula_sum 'Ce3 Pa3 Fe6'
_cell_length_a 4.1852
_cell_length_b 4.1852
_cell_length_c 15.1785
_cell_angle_alpha 90.00
_cell_angle_beta 90.00
_cell_angle_gamma 120.00
_symmetry_space_group_name_H-M 'R -3 m'
_symmetry_Int_Tables_number 166
_symmetry_space_group_name_Hall '-R 3 2"'
loop_
_atom_site_label
_atom_site_type_symbol
_atom_site_fract_x
_atom_site_fract_y
_atom_site_fract_z
_atom_site_occupancy
Ce1 Ce 0.0000 0.0000 0.0000 1
Pa1 Pa 0.0000 0.0000 0.5000 1
Fe1 Fe 0.0000 0.0000 0.2092 1
```

Peak list (10 most intense, 5 to 70 degrees two-theta, in order of falling intensity)
d 2.621, 2θ = 34.21°, rel. 100, hkl 1 0 4; d 2.093, 2θ = 43.23°, rel. 67, hkl 1 1 0; d 3.271, 2θ = 27.27°, rel. 67, hkl 0 1 2; d 1.612, 2θ = 57.12°, rel. 34, hkl 1 1 6; d 5.059, 2θ = 17.53°, rel. 27, hkl 0 0 3; d 1.635, 2θ = 56.25°, rel. 24, hkl 0 2 4; d 2.530, 2θ = 35.49°, rel. 22, hkl 0 0 6; d 1.400, 2θ = 66.82°, rel. 17, hkl 1 0 10; d 1.681, 2θ = 54.60°, rel. 14, hkl 0 1 8; d 1.934, 2θ = 46.99°, rel. 13, hkl 1 1 3

***

[2]
Simulated X-ray powder pattern
Compound: KCoCuH6
Radiation: Cu Kα
Structure: a structure optimized by DFT (GGA-PBE)
No peak broadening, texture or thermal motion is included.

Atomic structure:
```
data_KCoCuH6
_chemical_formula_sum 'K1 Co1 Cu1 H6'
_cell_length_a 4.5263
_cell_length_b 4.5263
_cell_length_c 5.2669
_cell_angle_alpha 90.00
_cell_angle_beta 90.00
_cell_angle_gamma 120.00
_symmetry_space_group_name_H-M 'P 3 1 2'
_symmetry_Int_Tables_number 149
loop_
_symmetry_equiv_pos_as_xyz
'x,y,z'
'-y,x-y,z'
'-x+y,-x,z'
'-y,-x,-z'
'-x+y,y,-z'
'x,x-y,-z'
loop_
_atom_site_label
_atom_site_type_symbol
_atom_site_fract_x
_atom_site_fract_y
_atom_site_fract_z
_atom_site_occupancy
K1 K 0.0000 0.0000 0.0000 1
Co1 Co 0.6667 0.3333 0.5000 1
Cu1 Cu 0.3333 0.6667 0.5000 1
H1 H 0.5112 0.0297 0.6908 1
```

Peak list (10 most intense, 5 to 70 degrees two-theta, in order of falling intensity)
d 3.145, 2θ = 28.38°, rel. 100, hkl 1 0 1; d 2.263, 2θ = 39.83°, rel. 48, hkl 1 1 0; d 5.267, 2θ = 16.83°, rel. 44, hkl 0 0 1; d 1.716, 2θ = 53.38°, rel. 40, hkl 2 -1 2; d 2.633, 2θ = 34.04°, rel. 24, hkl 0 0 2; d 2.079, 2θ = 43.52°, rel. 21, hkl 2 -1 1; d 1.837, 2θ = 49.63°, rel. 18, hkl 2 0 1; d 1.426, 2θ = 65.44°, rel. 15, hkl 3 -1 1; d 1.602, 2θ = 57.52°, rel. 11, hkl 1 0 3; d 3.920, 2θ = 22.68°, rel. 6, hkl 1 0 0

***

[3]
Simulated X-ray powder pattern
Compound: KSn2GeSe6
Radiation: Cu Kα
Structure: a structure optimized by DFT (GGA-PBE)
No peak broadening, texture or thermal motion is included.

Atomic structure:
```
data_KSn2GeSe6
_chemical_formula_sum 'K4 Sn8 Ge4 Se24'
_cell_length_a 15.3866
_cell_length_b 13.3022
_cell_length_c 7.2693
_cell_angle_alpha 90.00
_cell_angle_beta 115.87
_cell_angle_gamma 90.00
_symmetry_space_group_name_H-M 'C 1 2/c 1'
_symmetry_Int_Tables_number 15
loop_
_symmetry_equiv_pos_as_xyz
'x,y,z'
'-x,-y,-z'
'-x,y,-z+1/2'
'x,-y,z+1/2'
'x+1/2,y+1/2,z'
'-x+1/2,-y+1/2,-z'
'-x+1/2,y+1/2,-z+1/2'
'x+1/2,-y+1/2,z+1/2'
loop_
_atom_site_label
_atom_site_type_symbol
_atom_site_fract_x
_atom_site_fract_y
_atom_site_fract_z
_atom_site_occupancy
K1 K 0.0000 0.1183 0.2500 1
Sn1 Sn 0.2167 0.4116 0.2183 1
Ge1 Ge 0.0000 0.2596 0.7500 1
Se1 Se 0.0341 0.3512 0.0537 1
Se2 Se 0.1109 0.1241 0.7877 1
Se3 Se 0.2348 0.4042 0.5971 1
```

Peak list (10 most intense, 5 to 70 degrees two-theta, in order of falling intensity)
d 4.794, 2θ = 18.51°, rel. 100, hkl 2 2 0; d 3.323, 2θ = 26.83°, rel. 96, hkl 0 4 0; d 4.664, 2θ = 19.03°, rel. 94, hkl 0 2 1; d 3.428, 2θ = 25.99°, rel. 86, hkl 1 1 -2; d 2.528, 2θ = 35.51°, rel. 48, hkl 5 3 -1; d 2.011, 2θ = 45.08°, rel. 47, hkl 6 2 -3; d 3.461, 2θ = 25.74°, rel. 42, hkl 4 0 0; d 2.711, 2θ = 33.04°, rel. 41, hkl 5 1 0; d 4.609, 2θ = 19.26°, rel. 31, hkl 3 1 -1; d 2.770, 2θ = 32.32°, rel. 28, hkl 1 3 -2